(1)
Simulated powder XRD pattern
Compound: HfFe22C6
Radiation: Cu Ka
Structure: the PBE geometry in Alexandria

Structural model:
```
data_HfFe22C6
_cell_length_a 10.5565
_cell_length_b 10.5565
_cell_length_c 10.5565
_cell_angle_alpha 90.00
_cell_angle_beta 90.00
_cell_angle_gamma 90.00
_space_group_name_H-M_alt 'F m -3 m'
_space_group_IT_number 225
_space_group_name_Hall '-F 4 2 3'
loop_
_atom_site_label
_atom_site_fract_x
_atom_site_fract_y
_atom_site_fract_z
Hf1 0.0000 0.0000 0.0000
Fe1 0.0000 0.1732 0.1732
Fe2 0.1154 0.1154 0.3846
Fe3 0.2500 0.2500 0.2500
C1 0.0000 0.0000 0.2723
```

Principal peaks in the range 5 to 70 degrees two-theta, sorted by position:
- 2θ 14.53, I 11, hkl 1 1 1
- 2θ 28.03, I 14, hkl 3 1 1
- 2θ 41.93, I 35, hkl 4 2 2
- 2θ 44.60, I 100, hkl 3 3 3
- 2θ 48.80, I 24, hkl 4 4 0
- 2θ 51.97, I 15, hkl 6 0 0

(2)
Simulated powder XRD pattern
Compound: ErTm8Sb2
Radiation: Cu Ka
Structure: the PBE geometry in Alexandria

Structural model:
```
data_ErTm8Sb2
_cell_length_a 14.7222
_cell_length_b 8.6490
_cell_length_c 6.0466
_cell_angle_alpha 90.00
_cell_angle_beta 110.93
_cell_angle_gamma 90.00
_space_group_name_H-M_alt 'C 1 2/m 1'
_space_group_IT_number 12
loop_
_space_group_symop_operation_xyz
'x,y,z'
'-x,-y,-z'
'-x,y,-z'
'x,-y,z'
'x+1/2,y+1/2,z'
'-x+1/2,-y+1/2,-z'
'-x+1/2,y+1/2,-z'
'x+1/2,-y+1/2,z'
loop_
_atom_site_label
_atom_site_fract_x
_atom_site_fract_y
_atom_site_fract_z
Er1 0.0000 0.0000 0.0000
Tm1 0.0903 0.5000 0.7649
Tm2 0.1181 0.3115 0.2750
Tm3 0.1777 0.0000 0.8049
Sb1 0.2191 0.0000 0.3467
```

Principal peaks in the range 5 to 70 degrees two-theta, sorted by position:
- 2θ 26.38, I 55, hkl 2 2 -1
- 2θ 31.55, I 100, hkl 2 2 1
- 2θ 31.69, I 67, hkl 0 0 2
- 2θ 32.41, I 57, hkl 5 1 -1
- 2θ 33.09, I 52, hkl 4 0 -2
- 2θ 34.21, I 76, hkl 5 1 0

(3)
Simulated powder XRD pattern
Compound: Ce5SiPt
Radiation: Cu Ka
Structure: the PBE geometry in Alexandria

Structural model:
```
data_Ce5SiPt
_cell_length_a 8.2537
_cell_length_b 8.5169
_cell_length_c 10.1407
_cell_angle_alpha 90.00
_cell_angle_beta 93.12
_cell_angle_gamma 90.00
_space_group_name_H-M_alt 'C 1 2/c 1'
_space_group_IT_number 15
loop_
_space_group_symop_operation_xyz
'x,y,z'
'-x,-y,-z'
'-x,y,-z+1/2'
'x,-y,z+1/2'
'x+1/2,y+1/2,z'
'-x+1/2,-y+1/2,-z'
'-x+1/2,y+1/2,-z+1/2'
'x+1/2,-y+1/2,z+1/2'
loop_
_atom_site_label
_atom_site_fract_x
_atom_site_fract_y
_atom_site_fract_z
Ce1 0.0000 0.1488 0.2500
Ce2 0.1615 0.3894 0.5068
Ce3 0.2031 0.2167 0.8370
Si1 0.0000 0.4985 0.2500
Pt1 0.0000 0.0000 0.0000
```

Principal peaks in the range 5 to 70 degrees two-theta, sorted by position:
- 2θ 27.37, I 64, hkl 0 2 2
- 2θ 30.18, I 50, hkl 2 2 0
- 2θ 31.01, I 100, hkl 1 1 3
- 2θ 31.81, I 76, hkl 2 2 1
- 2θ 34.43, I 57, hkl 1 3 -1
- 2θ 37.65, I 72, hkl 1 3 -2

(4)
Simulated powder XRD pattern
Compound: Nd2Zn2Pt3
Radiation: Cu Ka
Structure: the PBE geometry in Alexandria

Structural model:
```
data_Nd2Zn2Pt3
_cell_length_a 4.1146
_cell_length_b 18.9858
_cell_length_c 7.4445
_cell_angle_alpha 90.00
_cell_angle_beta 90.00
_cell_angle_gamma 90.00
_space_group_name_H-M_alt 'C m c m'
_space_group_IT_number 63
_space_group_name_Hall '-C 2c 2'
loop_
_atom_site_label
_atom_site_fract_x
_atom_site_fract_y
_atom_site_fract_z
Nd1 0.0000 0.0607 0.2500
Nd2 0.0000 0.1549 0.7500
Zn1 0.0000 0.3067 0.5532
Pt1 0.0000 0.2244 0.2500
Pt2 0.0000 0.4350 0.0619
```

Principal peaks in the range 5 to 70 degrees two-theta, sorted by position:
- 2θ 32.79, I 100, hkl 1 1 2
- 2θ 34.32, I 94, hkl 1 5 1
- 2θ 41.04, I 34, hkl 0 4 3
- 2θ 44.01, I 39, hkl 2 0 0
- 2θ 45.00, I 31, hkl 1 3 3
- 2θ 46.97, I 33, hkl 1 7 2